# 1
Diffraction record for In2GaCu3Se6. The powder diffractogram is simulated, not measured: it uses a structure optimized by DFT (GGA-PBE) and λ = 1.5418 Å (Cu Kα).
Intensities are scaled so that the largest is 100.

Principal peaks in the range 2θ = 5–70°, by angle:
d [Å]	I_rel	index
3.353	100.0	2 2 -1
3.226	2.6	1 3 1
2.532	3.5	1 1 4
2.054	60.4	2 4 2
2.050	11.9	4 0 -2
1.754	14.7	0 6 3
1.750	28.0	4 2 1
1.486	1.5	1 3 7
1.455	3.9	0 8 0
1.450	7.0	4 0 4

```
data_In2GaCu3Se6
_cell_length_a 8.2001
_cell_length_b 11.6427
_cell_length_c 12.9743
_cell_angle_alpha 90.00
_cell_angle_beta 108.41
_cell_angle_gamma 90.00
_space_group_name_H-M_alt 'C 1 2 1'
_space_group_IT_number 5
_space_group_name_Hall 'C 2y'
loop_
_atom_site_label
_atom_site_fract_x
_atom_site_fract_y
_atom_site_fract_z
_atom_site_occupancy
In1 0.0000 0.0000 0.0000 1
In2 0.0000 0.2492 0.5000 1
In3 0.1644 0.7494 0.8299 1
Ga1 0.1655 0.4989 0.3318 1
Cu1 0.0000 0.4991 0.0000 1
Cu2 0.0000 0.7479 0.5000 1
Cu3 0.1632 0.2505 0.8287 1
Cu4 0.1689 0.9999 0.3407 1
Se1 0.0667 0.3800 0.1643 1
Se2 0.0801 0.6171 0.6548 1
Se3 0.0856 0.1176 0.6758 1
Se4 0.1061 0.8769 0.1806 1
Se5 0.2346 0.8783 0.5023 1
Se6 0.2404 0.6279 0.0112 1
```



# 2
Diffraction record for InGaCu2Se4. The powder diffractogram is simulated, not measured: it uses a structure optimized by DFT (GGA-PBE) and λ = 1.5418 Å (Cu Kα).
Intensities are scaled so that the largest is 100.

Principal peaks in the range 2θ = 5–70°, by angle:
d [Å]	I_rel	index
3.330	100.0	1 1 2
3.188	1.9	1 0 3
2.582	2.0	2 0 2
2.524	2.5	2 1 1
2.045	24.7	2 2 0
2.036	47.8	2 0 4
1.743	29.1	3 1 2
1.731	13.7	1 1 6
1.446	7.5	4 0 0
1.433	3.4	0 0 8

```
data_InGaCu2Se4
_cell_length_a 5.7852
_cell_length_b 5.7852
_cell_length_c 11.4626
_cell_angle_alpha 90.00
_cell_angle_beta 90.00
_cell_angle_gamma 90.00
_space_group_name_H-M_alt 'I -4 2 m'
_space_group_IT_number 121
_space_group_name_Hall 'I -4 2'
loop_
_atom_site_label
_atom_site_fract_x
_atom_site_fract_y
_atom_site_fract_z
_atom_site_occupancy
In1 0.0000 0.0000 0.0000 1
Ga1 0.0000 0.0000 0.5000 1
Cu1 0.0000 0.5000 0.2500 1
Se1 0.2362 0.2362 0.3649 1
```



# 3
Diffraction record for ZrInGaCu. The powder diffractogram is simulated, not measured: it uses a structure optimized by DFT (GGA-PBE) and λ = 1.5418 Å (Cu Kα).
Intensities are scaled so that the largest is 100.

Principal peaks in the range 2θ = 5–70°, by angle:
d [Å]	I_rel	index
4.040	3.7	1 0 0
2.995	3.3	0 1 1
2.406	100.0	1 1 1
2.179	18.6	0 0 2
2.061	15.7	0 2 0
2.020	14.7	2 0 0
1.675	1.2	2 1 1
1.498	10.8	0 2 2
1.482	10.4	2 0 2
1.443	9.4	2 2 0

```
data_ZrInGaCu
_cell_length_a 4.0404
_cell_length_b 4.1222
_cell_length_c 4.3590
_cell_angle_alpha 90.00
_cell_angle_beta 90.00
_cell_angle_gamma 90.00
_space_group_name_H-M_alt 'P m m m'
_space_group_IT_number 47
_space_group_name_Hall '-P 2 2'
loop_
_atom_site_label
_atom_site_fract_x
_atom_site_fract_y
_atom_site_fract_z
_atom_site_occupancy
Zr1 0.0000 0.0000 0.0000 1
In1 0.0000 0.5000 0.5000 1
Ga1 0.5000 0.5000 0.0000 1
Cu1 0.5000 0.0000 0.5000 1
```



# 4
Diffraction record for Ga2CuIr. The powder diffractogram is simulated, not measured: it uses a structure optimized by DFT (GGA-PBE) and λ = 1.5418 Å (Cu Kα).
Intensities are scaled so that the largest is 100.

Principal peaks in the range 2θ = 5–70°, by angle:
d [Å]	I_rel	index
5.161	21.3	0 1 0
4.533	33.4	0 1 1
4.195	30.7	1 0 -2
2.382	59.4	2 0 -2
2.371	95.4	0 0 4
2.162	36.8	2 0 0
2.097	30.3	2 0 -4
2.061	100.0	1 2 1
2.033	97.4	1 2 -3
1.353	23.2	3 2 -3

```
data_Ga2CuIr
_cell_length_a 4.7690
_cell_length_b 5.1606
_cell_length_c 10.4580
_cell_angle_alpha 90.00
_cell_angle_beta 114.93
_cell_angle_gamma 90.00
_space_group_name_H-M_alt 'P 1 2/c 1'
_space_group_IT_number 13
_space_group_name_Hall '-P 2yc'
loop_
_atom_site_label
_atom_site_fract_x
_atom_site_fract_y
_atom_site_fract_z
_atom_site_occupancy
Ga1 0.1792 0.1480 0.1284 1
Ga2 0.3210 0.1568 0.8830 1
Cu1 0.1882 0.3587 0.6230 1
Ir1 0.3113 0.3519 0.3704 1
```